Entry 1:
This entry pairs a crystal structure of LiCo3O6 with its computed powder XRD pattern. Radiation: a wavelength of 1.5418 Å. Structure: a crystal structure in the Materials Project, relaxed with PBE+U.
Lines closer than 0.1° are merged.

Most intense lines, 2θ = 10–90°, in order of falling intensity:
2θ/deg	I/Imax	index
17.6	100.0	0 0 2
45.5	15.5	2 -1 2
37.3	10.2	1 1 0
37.6	10.0	-1 2 1
59.1	5.6	1 -2 5
40.6	5.4	1 1 -3
40.8	5.3	-1 2 2
45.7	5.3	-1 2 3

Crystal structure
a = 4.9138 Å, b = 4.9319 Å, c = 10.4674 Å
α = 90.35°, β = 103.24°, γ = 119.46°
Space group P1 (No. 1)
Symmetry-distinct sites (fractional):
1 Li 0.0000 0.0000 0.0000
2 Li 0.3354 0.8295 0.5009
3 Co 0.1653 0.2581 0.7506
4 Co 0.1711 0.0927 0.2621
5 Co 0.5019 0.7576 0.2527
6 Co 0.5056 0.9243 0.7592
7 Co 0.8227 0.4181 0.2465
8 Co 0.8308 0.5922 0.7520
9 O 0.1095 0.5675 0.6591
10 O 0.1215 0.7527 0.1568
11 O 0.2184 0.9556 0.8495
12 O 0.2394 0.4680 0.3515
13 O 0.4162 0.3798 0.1569
14 O 0.4401 0.2214 0.6598
15 O 0.5525 0.1038 0.3538
16 O 0.5898 0.6367 0.8558
17 O 0.7482 0.8752 0.6536
18 O 0.7781 0.0402 0.1554
19 O 0.9029 0.2910 0.8493
20 O 0.9029 0.8027 0.3536

Entry 2:
This entry pairs a crystal structure of Ca4Al3CrSiBO14 with its computed powder XRD pattern. Radiation: a wavelength of 1.5418 Å. Structure: a crystal structure in the Materials Project, relaxed with PBE+U.
Lines closer than 0.1° are merged.

Most intense lines, 2θ = 10–90°, in order of falling intensity:
2θ/deg	I/Imax	index
31.5	100.0	-1 2 1
31.7	71.9	1 2 -1
31.2	69.9	1 -1 2
31.0	37.8	1 1 2
29.2	28.2	1 -2 0
52.3	25.7	-2 3 1
23.8	21.6	1 1 1
28.9	16.9	1 0 2

Crystal structure
a = 5.0586 Å, b = 7.6904 Å, c = 7.7179 Å
α = 89.38°, β = 88.98°, γ = 89.80°
Space group P1 (No. 1)
Symmetry-distinct sites (fractional):
1 Ca 0.0000 0.0000 0.0000
2 Ca 0.0068 0.8289 0.5384
3 Ca 0.0235 0.5072 0.8628
4 Ca 0.9835 0.3226 0.3262
5 Al 0.4657 0.3006 0.0382
6 Al 0.5046 0.1430 0.6850
7 Al 0.5058 0.6650 0.1722
8 Cr 0.5453 0.5205 0.5471
9 Si 0.4523 0.0127 0.3274
10 B 0.5633 0.8046 0.8298
11 O 0.2038 0.5222 0.5461
12 O 0.2818 0.8090 0.8294
13 O 0.3034 0.4942 0.1052
14 O 0.3059 0.0679 0.5129
15 O 0.3085 0.2432 0.8447
16 O 0.3131 0.8253 0.2814
17 O 0.3221 0.1490 0.1871
18 O 0.6878 0.6639 0.7053
19 O 0.6929 0.7582 0.9995
20 O 0.7025 0.9699 0.7642
21 O 0.7040 0.3107 0.5861
22 O 0.7118 0.5808 0.3418
23 O 0.7711 0.0128 0.3298
24 O 0.8068 0.2991 0.0413